This entry pairs a crystal structure of Ba2FeBrO3 with its calculated powder X-ray diffraction pattern. Radiation: Cu Ka. Structure: a GGA+U-relaxed structure.

Top 10 peaks for 5 to 70 degrees two-theta, by angle:
- hkl 0 0 4, 22.22 deg, intensity 28
- hkl 1 1 0, 30.54 deg, intensity 75
- hkl 1 0 4, 31.12 deg, intensity 100
- hkl 1 0 5, 35.49 deg, intensity 15
- hkl 1 1 4, 38.12 deg, intensity 23
- hkl 2 0 0, 43.74 deg, intensity 37
- hkl 1 0 8, 50.76 deg, intensity 18
- hkl 2 1 4, 54.65 deg, intensity 40
- hkl 2 2 0, 63.58 deg, intensity 12
- hkl 2 1 8, 69.21 deg, intensity 13

Cell and atoms:
Cell: 4.1391 4.1391 15.9756 Å, 90.00 90.00 90.00°
Space group P4/nmm (No. 129, origin choice 2)
Inequivalent atoms, fractional coordinates:
Ba1 0.2500 0.2500 0.0940 (multiplicity 2)
Ba2 0.2500 0.2500 0.3332 (multiplicity 2)
Fe1 0.2500 0.2500 0.8014 (multiplicity 2)
Br1 0.2500 0.2500 0.5786 (multiplicity 2)
O1 0.2500 0.2500 0.9212 (multiplicity 2)
O2 0.2500 0.7500 0.2199 (multiplicity 4)